Starting from a structure optimized by DFT (PBE), the powder X-ray diffraction pattern of MnAl8Os2 was simulated for a wavelength of 1.5418 Å.

Atomic structure:
```
11
Lattice="-2.027 3.760 5.368 2.027 -3.760 5.368 2.027 3.760 -5.368" Properties=species:S:1:pos:R:3 pbc="T T T"
Mn 0.000 0.000 0.000
Al 2.027 -1.630 3.667
Al 2.027 0.000 1.440
Al 2.027 2.434 0.000
Al 0.000 2.130 1.701
Al 2.027 1.630 3.667
Al 0.000 1.326 5.368
Al 0.000 3.760 3.928
Al 0.000 5.389 1.701
Os 0.000 0.000 3.129
Os 0.000 0.000 7.607
```

Most intense lines, 2θ from 15° to 90°, by angle:
16.5°, I 63
23.7°, I 49
25.0°, I 100
27.6°, I 41
29.0°, I 34
30.1°, I 45
41.3°, I 100
42.1°, I 40
42.4°, I 26
44.7°, I 31
45.8°, I 33
54.2°, I 26